For PmPr3Tm6, a cell relaxed with GGA-PBE gives the computed powder XRD pattern in this record (copper Kα).
Neutral-atom scattering factors, no anomalous dispersion.

Principal peaks in the range 2θ from 15° to 90°, in order of rising 2θ:
(2 -1 3), 29.26 deg, d = 3.053 Å, rel. 72.8; (3 0 0), 31.32 deg, d = 2.856 Å, rel. 100.0; (1 0 4), 32.50 deg, d = 2.755 Å, rel. 12.9; (2 2 3), 43.39 deg, d = 2.086 Å, rel. 25.0; (5 -1 3), 54.48 deg, d = 1.684 Å, rel. 25.5; (3 3 0), 55.74 deg, d = 1.649 Å, rel. 19.5; (3 0 6), 57.43 deg, d = 1.605 Å, rel. 14.7; (6 0 0), 65.34 deg, d = 1.428 Å, rel. 12.0

Crystal structure
Cell lengths 9.8943, 9.8943, 11.6375 Å; angles 90.00, 90.00, 120.00 degrees
Space group R-3 (No. 148, hexagonal axes)
Inequivalent atoms, fractional coordinates:
1 Pm 0.0000 0.0000 0.0000 (multiplicity 3)
2 Pr 0.0000 0.0000 0.2492 (multiplicity 6)
3 Pr 0.0000 0.0000 0.5000 (multiplicity 3)
4 Tm 0.0011 0.6731 0.7496 (multiplicity 18)